For Nb4CoC2S4, DFT lattice parameters and positions (PBE) gives the theoretical X-ray powder pattern in this record (CuKα).

Atomic structure:
```
data_Nb4CoC2S4
_cell_length_a 5.7392
_cell_length_b 3.3347
_cell_length_c 8.5296
_cell_angle_alpha 90.00
_cell_angle_beta 102.63
_cell_angle_gamma 90.00
_space_group_name_H-M_alt 'P 1 2/m 1'
_space_group_IT_number 10
_space_group_name_Hall '-P 2y'
loop_
_atom_site_label
_atom_site_type_symbol
_atom_site_fract_x
_atom_site_fract_y
_atom_site_fract_z
Nb1 Nb 0.1161 0.0000 0.3613
Nb2 Nb 0.3733 0.5000 0.6396
Co1 Co 0.0000 0.0000 0.0000
C1 C 0.0000 0.5000 0.5000
C2 C 0.5000 0.0000 0.5000
S1 S 0.2207 0.5000 0.1563
S2 S 0.2786 0.0000 0.8406
```

Peak list (6 most intense, 2θ from 10° to 90°, sorted by position)
(hkl), 2θ (°), I/Imax
0 0 1, 10.6, 76.6
1 1 0, 31.2, 60.5
1 1 -2, 36.0, 100.0
1 1 2, 40.2, 50.3
2 0 2, 42.7, 91.3
3 1 -1, 55.4, 45.4